Structure and simulated powder XRD pattern of Be2HPb (a DFT-relaxed cell (PBE, Alexandria); λ = 1.5418 Å (Cu Kα)).
Lines closer than 0.1° are merged.

Atomic structure:
a b c (Å): 6.1508 6.1508 6.1508
angles (deg): 138.40 138.40 60.29
Positions (direct):
Be (0.0000, 0.0000, 0.0000)
Be (0.0000, 0.0000, 0.5000)
Be (0.0000, 0.5000, 0.0000)
Be (0.5000, 0.0000, 0.5000)
H (0.1250, 0.8750, 0.2500)
H (0.8750, 0.1250, 0.7500)
Pb (0.3750, 0.6250, 0.7500)
Pb (0.6250, 0.3750, 0.2500)

The 10 most intense peaks (10 to 90 degrees two-theta), sorted by position:
- 2θ = 22.0°, I 100
- 2θ = 32.5°, I 47
- 2θ = 33.6°, I 82
- 2θ = 33.7°, I 18
- 2θ = 41.3°, I 23
- 2θ = 47.3°, I 34
- 2θ = 47.5°, I 17
- 2θ = 53.6°, I 20
- 2θ = 54.4°, I 21
- 2θ = 70.5°, I 31


Structure and simulated powder XRD pattern of Ce2Ge3Pt5 (a DFT-relaxed cell (PBE, Alexandria); λ = 1.5418 Å (Cu Kα)).
Lines closer than 0.1° are merged.

Atomic structure:
a b c (Å): 12.1487 12.1487 7.0251
angles (deg): 90.00 90.00 159.16
Positions (direct):
Ce (0.0224, 0.9776, 0.5000)
Ce (0.3254, 0.6746, 0.4803)
Ce (0.6746, 0.3254, 0.9803)
Ce (0.9776, 0.0224, 0.0000)
Ge (0.1031, 0.8969, 0.8336)
Ge (0.2762, 0.7238, 0.9115)
Ge (0.4463, 0.5537, 0.6868)
Ge (0.5537, 0.4463, 0.1868)
Ge (0.7238, 0.2762, 0.4115)
Ge (0.8969, 0.1031, 0.3336)
Pt (0.1103, 0.8897, 0.2069)
Pt (0.1917, 0.8083, 0.6308)
Pt (0.2278, 0.7722, 0.2236)
Pt (0.3791, 0.6209, 0.9756)
Pt (0.4502, 0.5498, 0.3009)
Pt (0.5498, 0.4502, 0.8009)
Pt (0.6209, 0.3791, 0.4756)
Pt (0.7722, 0.2278, 0.7236)
Pt (0.8083, 0.1917, 0.1308)
Pt (0.8897, 0.1103, 0.7069)

The 10 most intense peaks (10 to 90 degrees two-theta), sorted by position:
- 2θ = 34.0°, I 22
- 2θ = 34.6°, I 100
- 2θ = 35.7°, I 90
- 2θ = 39.7°, I 23
- 2θ = 39.8°, I 20
- 2θ = 41.1°, I 59
- 2θ = 41.4°, I 25
- 2θ = 44.0°, I 21
- 2θ = 47.7°, I 26
- 2θ = 59.7°, I 17


Structure and simulated powder XRD pattern of RbNaMg14O15 (a DFT-relaxed cell (PBE, Alexandria); λ = 1.5418 Å (Cu Kα)).
Lines closer than 0.1° are merged.

Atomic structure:
a b c (Å): 4.4105 8.8121 8.5093
angles (deg): 90.00 90.00 90.00
Positions (direct):
Rb (0.0000, 0.0000, 0.0000)
Na (0.0000, 0.5000, 0.5901)
Mg (0.0000, 0.0000, 0.5676)
Mg (0.0000, 0.2487, 0.3346)
Mg (0.0000, 0.2830, 0.8440)
Mg (0.0000, 0.5000, 0.1007)
Mg (0.0000, 0.7170, 0.8440)
Mg (0.0000, 0.7513, 0.3346)
Mg (0.5000, 0.0000, 0.3305)
Mg (0.5000, 0.0000, 0.8330)
Mg (0.5000, 0.2511, 0.5947)
Mg (0.5000, 0.2548, 0.0987)
Mg (0.5000, 0.5000, 0.3506)
Mg (0.5000, 0.5000, 0.8444)
Mg (0.5000, 0.7452, 0.0987)
Mg (0.5000, 0.7489, 0.5947)
O (0.0000, 0.0000, 0.3411)
O (0.0000, 0.2234, 0.6142)
O (0.0000, 0.2704, 0.0902)
O (0.0000, 0.5000, 0.3361)
O (0.0000, 0.5000, 0.8548)
O (0.0000, 0.7296, 0.0902)
O (0.0000, 0.7766, 0.6142)
O (0.5000, 0.0000, 0.0944)
O (0.5000, 0.0000, 0.6003)
O (0.5000, 0.2374, 0.8478)
O (0.5000, 0.2496, 0.3474)
O (0.5000, 0.5000, 0.0913)
O (0.5000, 0.5000, 0.6025)
O (0.5000, 0.7504, 0.3474)
O (0.5000, 0.7626, 0.8478)

The 10 most intense peaks (10 to 90 degrees two-theta), sorted by position:
- 2θ = 10.4°, I 11
- 2θ = 30.9°, I 10
- 2θ = 35.7°, I 24
- 2θ = 40.9°, I 100
- 2θ = 42.5°, I 28
- 2θ = 59.3°, I 28
- 2θ = 60.5°, I 17
- 2θ = 60.5°, I 15
- 2θ = 71.2°, I 9
- 2θ = 75.6°, I 14


Structure and simulated powder XRD pattern of Li2Cu4Pt (a DFT-relaxed cell (PBE, Alexandria); λ = 1.5418 Å (Cu Kα)).
Lines closer than 0.1° are merged.

Atomic structure:
a b c (Å): 4.4730 4.5908 5.1720
angles (deg): 98.86 97.04 112.19
Positions (direct):
Li (0.1288, 0.0228, 0.3018)
Li (0.8712, 0.9772, 0.6982)
Cu (0.0000, 0.5000, 0.0000)
Cu (0.4846, 0.4387, 0.7500)
Cu (0.5000, 0.0000, 0.0000)
Cu (0.5154, 0.5613, 0.2500)
Pt (0.0000, 0.5000, 0.5000)

The 10 most intense peaks (10 to 90 degrees two-theta), sorted by position:
- 2θ = 21.4°, I 100
- 2θ = 23.7°, I 29
- 2θ = 25.4°, I 28
- 2θ = 30.8°, I 24
- 2θ = 38.3°, I 24
- 2θ = 43.1°, I 45
- 2θ = 43.7°, I 68
- 2θ = 44.6°, I 33
- 2θ = 44.9°, I 32
- 2θ = 48.4°, I 24


Structure and simulated powder XRD pattern of K2Pr2US6 (a DFT-relaxed cell (PBE, Alexandria); λ = 1.5418 Å (Cu Kα)).
Lines closer than 0.1° are merged.

Atomic structure:
a b c (Å): 7.1807 7.1807 7.8875
angles (deg): 98.86 98.86 119.62
Positions (direct):
K (0.1694, 0.8306, 0.0000)
K (0.8306, 0.1694, 0.0000)
Pr (0.3340, 0.6660, 0.5000)
Pr (0.6660, 0.3340, 0.5000)
U (0.0000, 0.0000, 0.5000)
S (0.0634, 0.3843, 0.6985)
S (0.2458, 0.2458, 0.3021)
S (0.3843, 0.0634, 0.6985)
S (0.6157, 0.9366, 0.3015)
S (0.7542, 0.7542, 0.6979)
S (0.9366, 0.6157, 0.3015)

The 10 most intense peaks (10 to 90 degrees two-theta), sorted by position:
- 2θ = 11.8°, I 100
- 2θ = 23.7°, I 15
- 2θ = 25.1°, I 24
- 2θ = 26.0°, I 21
- 2θ = 29.4°, I 30
- 2θ = 29.5°, I 59
- 2θ = 37.5°, I 17
- 2θ = 40.7°, I 31
- 2θ = 43.5°, I 21
- 2θ = 45.2°, I 15


Structure and simulated powder XRD pattern of Ho6Mg5Zn (a DFT-relaxed cell (PBE, Alexandria); λ = 1.5418 Å (Cu Kα)).
Lines closer than 0.1° are merged.

Atomic structure:
a b c (Å): 8.3649 8.3649 7.4607
angles (deg): 90.00 90.00 143.18
Positions (direct):
Ho (0.0000, 0.0000, 0.2389)
Ho (0.0000, 0.0000, 0.7611)
Ho (0.3390, 0.6610, 0.2442)
Ho (0.3390, 0.6610, 0.7558)
Ho (0.6610, 0.3390, 0.2442)
Ho (0.6610, 0.3390, 0.7558)
Mg (0.1689, 0.8311, 0.5000)
Mg (0.1725, 0.8275, 0.0000)
Mg (0.5000, 0.5000, 0.5000)
Mg (0.8275, 0.1725, 0.0000)
Mg (0.8311, 0.1689, 0.5000)
Zn (0.5000, 0.5000, 0.0000)

The 10 most intense peaks (10 to 90 degrees two-theta), sorted by position:
- 2θ = 23.8°, I 53
- 2θ = 33.9°, I 100
- 2θ = 41.9°, I 16
- 2θ = 48.7°, I 12
- 2θ = 54.9°, I 15
- 2θ = 55.0°, I 7
- 2θ = 60.7°, I 30
- 2θ = 60.8°, I 6
- 2θ = 71.4°, I 9
- 2θ = 81.4°, I 10


Structure and simulated powder XRD pattern of YSnCl5 (a DFT-relaxed cell (PBE, Alexandria); λ = 1.5418 Å (Cu Kα)).
Lines closer than 0.1° are merged.

Atomic structure:
a b c (Å): 7.2156 7.2156 10.3546
angles (deg): 108.42 108.42 89.58
Positions (direct):
Y (0.0000, 0.5000, 0.0000)
Y (0.5000, 0.0000, 0.5000)
Sn (0.0862, 0.9138, 0.7500)
Sn (0.9138, 0.0862, 0.2500)
Cl (0.1855, 0.6175, 0.8510)
Cl (0.2220, 0.2334, 0.5203)
Cl (0.2334, 0.2220, 0.0203)
Cl (0.2377, 0.7623, 0.2500)
Cl (0.3825, 0.8145, 0.6490)
Cl (0.6175, 0.1855, 0.3510)
Cl (0.7623, 0.2377, 0.7500)
Cl (0.7666, 0.7780, 0.9797)
Cl (0.7780, 0.7666, 0.4797)
Cl (0.8145, 0.3825, 0.1490)

The 10 most intense peaks (10 to 90 degrees two-theta), sorted by position:
- 2θ = 13.0°, I 66
- 2θ = 18.5°, I 100
- 2θ = 20.3°, I 74
- 2θ = 24.7°, I 18
- 2θ = 28.3°, I 85
- 2θ = 33.0°, I 51
- 2θ = 36.6°, I 26
- 2θ = 40.8°, I 33
- 2θ = 41.2°, I 21
- 2θ = 43.9°, I 24


Structure and simulated powder XRD pattern of TiNb2H3 (a DFT-relaxed cell (PBE, Alexandria); λ = 1.5418 Å (Cu Kα)).
Lines closer than 0.1° are merged.

Atomic structure:
a b c (Å): 5.1148 5.1148 5.2161
angles (deg): 90.00 90.00 68.29
Positions (direct):
Ti (0.1396, 0.8604, 0.5000)
Ti (0.8604, 0.1396, 0.0000)
Nb (0.1977, 0.4785, 0.0074)
Nb (0.4785, 0.1977, 0.5074)
Nb (0.5215, 0.8023, 0.0074)
Nb (0.8023, 0.5215, 0.5074)
H (0.1595, 0.5071, 0.3731)
H (0.1645, 0.8355, 0.8580)
H (0.4929, 0.8405, 0.3731)
H (0.5071, 0.1595, 0.8731)
H (0.8355, 0.1645, 0.3580)
H (0.8405, 0.4929, 0.8731)

The 10 most intense peaks (10 to 90 degrees two-theta), sorted by position:
- 2θ = 34.4°, I 58
- 2θ = 35.4°, I 45
- 2θ = 35.7°, I 100
- 2θ = 39.6°, I 91
- 2θ = 50.2°, I 31
- 2θ = 58.2°, I 19
- 2θ = 62.4°, I 19
- 2θ = 65.1°, I 21
- 2θ = 69.4°, I 21
- 2θ = 77.6°, I 19